No. 1
Structure and simulated powder diffraction line list of Na4HoPb15 (a structure optimized by DFT (PBE); Cu Kα).
Intensities are scaled so that the largest is 1000.

Main lines, in order of rising 2θ (2θ from 10° to 90°):
18.04 deg, I 146, (1 0 0)
25.62 deg, I 130, (1 1 0)
31.51 deg, I 1000, (1 1 5)
36.51 deg, I 341, (2 0 0)
36.63 deg, I 170, (0 0 10)
52.65 deg, I 364, (2 2 0)
62.61 deg, I 291, (3 1 5)
62.78 deg, I 143, (1 1 15)
65.79 deg, I 126, (2 2 10)
86.12 deg, I 64, (3 3 5)
86.27 deg, I 126, (3 1 15)
88.91 deg, I 60, (4 2 0)

Cell and atoms:
Unit cell a=4.9226 b=4.9226 c=24.5308 alpha=90.00 beta=90.00 gamma=90.00
Space group P4/mmm (No. 123)
Symmetry-distinct sites (fractional):
Na (0.0000, 0.0000, 0.1007) [2 per cell]
Na (0.0000, 0.0000, 0.3024) [2 per cell]
Ho (0.0000, 0.0000, 0.5000) [1 per cell]
Pb (0.0000, 0.5000, 0.0000) [2 per cell]
Pb (0.0000, 0.5000, 0.2007) [4 per cell]
Pb (0.0000, 0.5000, 0.4016) [4 per cell]
Pb (0.5000, 0.5000, 0.1005) [2 per cell]
Pb (0.5000, 0.5000, 0.3003) [2 per cell]
Pb (0.5000, 0.5000, 0.5000) [1 per cell]



No. 2
Structure and simulated powder diffraction line list of LaGaBi3 (a structure optimized by DFT (PBE); Cu Kα).
Intensities are scaled so that the largest is 1000.

Main lines, in order of rising 2θ (2θ from 10° to 90°):
16.10 deg, I 118, (1 0 0)
28.07 deg, I 1000, (1 1 1)
32.52 deg, I 764, (2 0 0)
36.49 deg, I 68, (2 1 0)
46.66 deg, I 570, (2 2 0)
49.68 deg, I 36, (3 0 0)
55.34 deg, I 474, (3 1 1)
58.03 deg, I 200, (2 2 2)
68.12 deg, I 94, (4 0 0)
75.23 deg, I 198, (3 3 1)
77.54 deg, I 264, (4 2 0)
86.62 deg, I 207, (4 2 2)

Cell and atoms:
Unit cell a=5.5059 b=5.5059 c=5.5059 alpha=90.00 beta=90.00 gamma=90.00
Space group Pm-3m (No. 221)
Symmetry-distinct sites (fractional):
La (0.0000, 0.0000, 0.0000) [1 per cell]
Ga (0.5000, 0.5000, 0.5000) [1 per cell]
Bi (0.0000, 0.5000, 0.5000) [3 per cell]



No. 3
Structure and simulated powder diffraction line list of PmSmNiAu (a structure optimized by DFT (PBE); Cu Kα).
Intensities are scaled so that the largest is 1000.

Main lines, in order of rising 2θ (2θ from 10° to 90°):
16.56 deg, I 158, (0 0 2)
31.29 deg, I 1000, (1 1 1)
33.48 deg, I 237, (0 0 4)
34.11 deg, I 295, (0 1 3)
38.96 deg, I 253, (1 0 4)
39.26 deg, I 312, (2 0 0)
39.51 deg, I 650, (1 1 3)
46.74 deg, I 203, (0 2 0)
52.53 deg, I 133, (2 0 4)
52.97 deg, I 171, (2 1 3)
62.64 deg, I 157, (2 2 0)
79.20 deg, I 154, (2 1 7)

Cell and atoms:
Unit cell a=4.5896 b=3.8871 c=10.7055 alpha=90.00 beta=90.00 gamma=90.00
Space group Amm2 (No. 38)
Symmetry-distinct sites (fractional):
Pm (0.0000, 0.0000, 0.0000) [2 per cell]
Sm (0.5000, 0.0000, 0.7211) [2 per cell]
Ni (0.0000, 0.0000, 0.2789) [2 per cell]
Au (0.5000, 0.0000, 0.4361) [2 per cell]



What did the third record say?
Structure and simulated powder diffraction line list of PmSmNiAu (a structure optimized by DFT (PBE); Cu Kα).
Intensities are scaled so that the largest is 1000.

Main lines, in order of rising 2θ (2θ from 10° to 90°):
16.56 deg, I 158, (0 0 2)
31.29 deg, I 1000, (1 1 1)
33.48 deg, I 237, (0 0 4)
34.11 deg, I 295, (0 1 3)
38.96 deg, I 253, (1 0 4)
39.26 deg, I 312, (2 0 0)
39.51 deg, I 650, (1 1 3)
46.74 deg, I 203, (0 2 0)
52.53 deg, I 133, (2 0 4)
52.97 deg, I 171, (2 1 3)
62.64 deg, I 157, (2 2 0)
79.20 deg, I 154, (2 1 7)

Cell and atoms:
Unit cell a=4.5896 b=3.8871 c=10.7055 alpha=90.00 beta=90.00 gamma=90.00
Space group Amm2 (No. 38)
Symmetry-distinct sites (fractional):
Pm (0.0000, 0.0000, 0.0000) [2 per cell]
Sm (0.5000, 0.0000, 0.7211) [2 per cell]
Ni (0.0000, 0.0000, 0.2789) [2 per cell]
Au (0.5000, 0.0000, 0.4361) [2 per cell]



Question: What is the formula in the third record?
Answer: PmSmNiAu